# La8CoOsPt2
Theoretical XRD peak list, Cu Kα. Input: the GGA-PBE geometry in Alexandria.
No peak broadening, texture or thermal motion is included.

Largest 10 diffraction maxima, in order of falling intensity, 2θ from 15° to 90°:
two_theta, I_rel
28.01, 1000
35.93, 756
45.30, 647
18.22, 587
18.55, 505
29.12, 481
27.78, 446
42.30, 438
36.29, 438
73.27, 309

a = 6.799 Å, b = 8.544 Å, c = 6.853 Å
α = 90.00°, β = 91.03°, γ = 90.00°
Positions (direct):
La 0.158 0.246 0.282
La 0.158 0.754 0.282
La 0.334 0.000 0.753
La 0.339 0.500 0.756
La 0.661 0.500 0.244
La 0.666 0.000 0.247
La 0.842 0.246 0.718
La 0.842 0.754 0.718
Co 0.000 0.000 0.500
Os 0.000 0.500 0.500
Pt 0.500 0.247 0.000
Pt 0.500 0.753 0.000

# LaCoSi2Os
Theoretical XRD peak list, Cu Kα. Input: the GGA-PBE geometry in Alexandria.
No peak broadening, texture or thermal motion is included.

Largest 10 diffraction maxima, in order of falling intensity, 2θ from 15° to 90°:
two_theta, I_rel
35.61, 1000
23.37, 500
34.30, 380
44.11, 373
75.59, 220
63.56, 211
35.30, 195
57.72, 189
57.04, 179
17.44, 145

a = 5.856 Å, b = 5.856 Å, c = 5.856 Å
α = 138.96°, β = 138.96°, γ = 59.44°
Positions (direct):
La 0.000 0.000 0.000
Co 0.750 0.250 0.500
Si 0.365 0.365 0.000
Si 0.635 0.635 0.000
Os 0.250 0.750 0.500

# La6CoSn2Os
Theoretical XRD peak list, Cu Kα. Input: the GGA-PBE geometry in Alexandria.
No peak broadening, texture or thermal motion is included.

Largest 10 diffraction maxima, in order of falling intensity, 2θ from 15° to 90°:
two_theta, I_rel
28.56, 1000
47.58, 638
32.94, 447
33.07, 442
33.29, 433
59.13, 333
47.37, 324
16.33, 230
56.17, 151
56.34, 149

a = 7.676 Å, b = 7.652 Å, c = 7.637 Å
α = 60.28°, β = 59.96°, γ = 59.76°
Positions (direct):
La 0.244 0.756 0.756
La 0.246 0.754 0.246
La 0.247 0.247 0.753
La 0.753 0.753 0.247
La 0.754 0.246 0.754
La 0.756 0.244 0.244
Co 0.000 0.000 0.000
Sn 0.250 0.250 0.250
Sn 0.750 0.750 0.750
Os 0.500 0.500 0.500

# LaCo9P4
Theoretical XRD peak list, Cu Kα. Input: the GGA-PBE geometry in Alexandria.
No peak broadening, texture or thermal motion is included.

Largest 10 diffraction maxima, in order of falling intensity, 2θ from 15° to 90°:
two_theta, I_rel
40.28, 1000
47.76, 412
48.92, 256
39.27, 194
35.48, 177
31.31, 157
49.48, 155
53.23, 152
36.94, 150
36.58, 149

a = 7.891 Å, b = 7.891 Å, c = 7.891 Å
α = 121.63°, β = 121.63°, γ = 87.19°
Positions (direct):
La 0.250 0.250 0.000
La 0.750 0.750 0.000
Co 0.000 0.500 0.500
Co 0.048 0.548 0.229
Co 0.080 0.803 0.884
Co 0.181 0.952 0.500
Co 0.197 0.080 0.277
Co 0.303 0.580 0.884
Co 0.319 0.819 0.771
Co 0.420 0.303 0.723
Co 0.452 0.681 0.500
Co 0.500 0.000 0.500
Co 0.548 0.319 0.500
Co 0.580 0.697 0.277
Co 0.681 0.181 0.229
Co 0.697 0.420 0.116
Co 0.803 0.920 0.723
Co 0.819 0.048 0.500
Co 0.920 0.197 0.116
Co 0.952 0.452 0.771
P 0.040 0.212 0.500
P 0.212 0.712 0.172
P 0.288 0.460 0.500
P 0.460 0.960 0.172
P 0.540 0.040 0.828
P 0.712 0.540 0.500
P 0.788 0.288 0.828
P 0.960 0.788 0.500

# LaCo8P5
Theoretical XRD peak list, Cu Kα. Input: the GGA-PBE geometry in Alexandria.
No peak broadening, texture or thermal motion is included.

Largest 10 diffraction maxima, in order of falling intensity, 2θ from 15° to 90°:
two_theta, I_rel
41.13, 1000
36.10, 919
39.53, 793
51.22, 621
37.37, 508
52.56, 363
39.83, 346
45.47, 317
59.30, 251
31.88, 251

a = 3.567 Å, b = 10.447 Å, c = 9.272 Å
α = 90.00°, β = 90.00°, γ = 90.00°
Positions (direct):
La 0.250 0.250 0.177
La 0.750 0.750 0.823
Co 0.250 0.004 0.889
Co 0.250 0.083 0.479
Co 0.250 0.250 0.849
Co 0.250 0.417 0.479
Co 0.250 0.496 0.889
Co 0.250 0.610 0.304
Co 0.250 0.750 0.547
Co 0.250 0.890 0.304
Co 0.750 0.110 0.696
Co 0.750 0.250 0.453
Co 0.750 0.390 0.696
Co 0.750 0.504 0.111
Co 0.750 0.583 0.521
Co 0.750 0.750 0.151
Co 0.750 0.917 0.521
Co 0.750 0.996 0.111
P 0.250 0.250 0.615
P 0.250 0.557 0.660
P 0.250 0.629 0.068
P 0.250 0.871 0.068
P 0.250 0.943 0.660
P 0.750 0.057 0.340
P 0.750 0.129 0.932
P 0.750 0.371 0.932
P 0.750 0.443 0.340
P 0.750 0.750 0.385

# La3PrCo8P8
Theoretical XRD peak list, Cu Kα. Input: the GGA-PBE geometry in Alexandria.
No peak broadening, texture or thermal motion is included.

Largest 10 diffraction maxima, in order of falling intensity, 2θ from 15° to 90°:
two_theta, I_rel
37.42, 1000
33.75, 887
60.36, 650
24.98, 463
48.45, 405
31.78, 279
83.06, 203
47.03, 191
59.11, 183
70.94, 132

a = 3.758 Å, b = 3.758 Å, c = 22.526 Å
α = 90.00°, β = 90.00°, γ = 90.00°
Positions (direct):
La 0.000 0.000 0.000
La 0.500 0.500 0.252
La 0.500 0.500 0.748
Pr 0.000 0.000 0.500
Co 0.000 0.500 0.126
Co 0.000 0.500 0.378
Co 0.000 0.500 0.622
Co 0.000 0.500 0.874
Co 0.500 0.000 0.126
Co 0.500 0.000 0.378
Co 0.500 0.000 0.622
Co 0.500 0.000 0.874
P 0.000 0.000 0.178
P 0.000 0.000 0.326
P 0.000 0.000 0.674
P 0.000 0.000 0.822
P 0.500 0.500 0.074
P 0.500 0.500 0.430
P 0.500 0.500 0.570
P 0.500 0.500 0.926

# LaPa2Co9
Theoretical XRD peak list, Cu Kα. Input: the GGA-PBE geometry in Alexandria.
No peak broadening, texture or thermal motion is included.

Largest 10 diffraction maxima, in order of falling intensity, 2θ from 15° to 90°:
two_theta, I_rel
42.93, 1000
36.60, 791
33.07, 762
36.04, 623
42.68, 480
45.84, 298
21.20, 272
77.80, 258
45.11, 241
25.46, 241

a = 8.677 Å, b = 8.677 Å, c = 8.677 Å
α = 32.88°, β = 32.88°, γ = 32.88°
Positions (direct):
La 0.000 0.000 0.000
Pa 0.137 0.137 0.137
Pa 0.863 0.863 0.863
Co 0.083 0.584 0.584
Co 0.333 0.333 0.333
Co 0.416 0.416 0.917
Co 0.416 0.917 0.416
Co 0.500 0.500 0.500
Co 0.584 0.083 0.584
Co 0.584 0.584 0.083
Co 0.667 0.667 0.667
Co 0.917 0.416 0.416

# La9Co3Pb2
Theoretical XRD peak list, Cu Kα. Input: the GGA-PBE geometry in Alexandria.
No peak broadening, texture or thermal motion is included.

Largest 10 diffraction maxima, in order of falling intensity, 2θ from 15° to 90°:
two_theta, I_rel
31.95, 1000
34.33, 885
30.62, 847
31.16, 723
32.62, 548
29.83, 441
31.72, 333
31.26, 266
47.83, 253
26.36, 185

a = 9.500 Å, b = 9.500 Å, c = 12.220 Å
α = 112.90°, β = 112.90°, γ = 55.58°
Positions (direct):
La 0.006 0.216 0.042
La 0.093 0.610 0.248
La 0.141 0.859 0.750
La 0.148 0.328 0.443
La 0.216 0.006 0.542
La 0.328 0.148 0.943
La 0.390 0.907 0.252
La 0.436 0.447 0.574
La 0.447 0.436 0.074
La 0.553 0.564 0.926
La 0.564 0.553 0.426
La 0.610 0.093 0.748
La 0.672 0.852 0.057
La 0.784 0.994 0.458
La 0.852 0.672 0.557
La 0.859 0.141 0.250
La 0.907 0.390 0.752
La 0.994 0.784 0.958
Co 0.000 0.500 0.000
Co 0.130 0.715 0.516
Co 0.285 0.870 0.984
Co 0.500 0.000 0.500
Co 0.715 0.130 0.016
Co 0.870 0.285 0.484
Pb 0.233 0.440 0.758
Pb 0.440 0.233 0.258
Pb 0.560 0.767 0.742
Pb 0.767 0.560 0.242